1.
# Li2SeClO3
Theoretical powder diffraction line list, Cu Kα X-rays. Input: a cell relaxed with PBE.
Intensities are scaled so that the largest is 100.

a b c (Å): 6.2201 6.2201 18.1944
angles (deg): 90.00 90.00 120.00
Space group R-3m (No. 166, hexagonal axes)
One atom of each set of equivalent atoms:
Li 0.0000 0.0000 0.0000 (multiplicity 3)
Li 0.0000 0.5000 0.5000 (multiplicity 9)
Se 0.0000 0.0000 0.4000 (multiplicity 6)
Cl 0.0000 0.0000 0.2459 (multiplicity 6)
O 0.0319 0.5160 0.2371 (multiplicity 18)

Main lines, low angle first (2θ = 5–70°):
- (1 0 1), 5.165 Å, I = 100
- (1 0 4), 3.475 Å, I = 15
- (1 1 0), 3.110 Å, I = 64
- (0 0 6), 3.032 Å, I = 37
- (0 1 5), 3.015 Å, I = 46
- (0 2 1), 2.664 Å, I = 17
- (1 1 6), 2.171 Å, I = 34
- (2 0 5), 2.165 Å, I = 21
- (3 0 0), 1.796 Å, I = 12
- (1 2 5), 1.777 Å, I = 13
- (2 2 0), 1.555 Å, I = 20
- (2 2 6), 1.383 Å, I = 22

---

2.
# Sn2Ge2Te
Theoretical powder diffraction line list, Cu Kα X-rays. Input: a cell relaxed with PBE.
Intensities are scaled so that the largest is 100.

a b c (Å): 3.985 3.985 16.345
angles (deg): 90.00 90.00 90.00
Space group I4/mmm (No. 139)
One atom of each set of equivalent atoms:
Sn 0.000 0.000 0.110 (multiplicity 4)
Ge 0.000 0.500 0.250 (multiplicity 4)
Te 0.000 0.000 0.500 (multiplicity 2)

Main lines, low angle first (2θ = 5–70°):
- (1 0 3), 3.216 Å, I = 86
- (1 1 0), 2.817 Å, I = 25
- (1 1 2), 2.664 Å, I = 94
- (1 0 5), 2.527 Å, I = 100
- (1 1 4), 2.320 Å, I = 40
- (0 0 8), 2.043 Å, I = 21
- (2 0 0), 1.992 Å, I = 53
- (2 1 3), 1.694 Å, I = 27
- (2 1 5), 1.565 Å, I = 47
- (2 0 8), 1.426 Å, I = 27
- (1 1 10), 1.414 Å, I = 29
- (2 2 0), 1.409 Å, I = 17

---

3.
# Tm3Tl3GeTe8
Theoretical powder diffraction line list, Cu Kα X-rays. Input: a cell relaxed with PBE.
Intensities are scaled so that the largest is 100.

a b c (Å): 8.6993 8.6993 24.4240
angles (deg): 90.00 90.00 120.00
Space group R-3m (No. 166, hexagonal axes)
One atom of each set of equivalent atoms:
Tm 0.0000 0.5000 0.0000 (multiplicity 9)
Tl 0.0000 0.5000 0.5000 (multiplicity 9)
Ge 0.0000 0.0000 0.0000 (multiplicity 3)
Te 0.0000 0.0000 0.2619 (multiplicity 6)
Te 0.0115 0.5058 0.7341 (multiplicity 18)

Main lines, low angle first (2θ = 5–70°):
- (0 0 3), 8.141 Å, I = 5
- (0 1 2), 6.412 Å, I = 9
- (1 0 4), 4.744 Å, I = 4
- (0 2 4), 3.206 Å, I = 100
- (2 0 8), 2.372 Å, I = 36
- (2 2 0), 2.175 Å, I = 36
- (0 0 12), 2.035 Å, I = 5
- (4 0 4), 1.800 Å, I = 19
- (2 2 9), 1.697 Å, I = 4
- (0 4 8), 1.603 Å, I = 11
- (2 2 12), 1.486 Å, I = 13
- (2 4 4), 1.387 Å, I = 16